Theoretical powder XRD pattern of LiPm3Pd3 for Cu Kα (λ = 1.5418 Å), from the PBE geometry in Alexandria.
Intensities are scaled so that the largest is 100.

Structural model:
```
data_LiPm3Pd3
_chemical_formula_sum 'Li4 Pm12 Pd12'
_cell_length_a 4.211
_cell_length_b 10.648
_cell_length_c 14.266
_cell_angle_alpha 90.00
_cell_angle_beta 90.00
_cell_angle_gamma 90.00
_space_group_name_H-M_alt 'C m c m'
_space_group_IT_number 63
_space_group_name_Hall '-C 2c 2'
loop_
_atom_site_label
_atom_site_fract_x
_atom_site_fract_y
_atom_site_fract_z
Li1 0.000 0.000 0.000
Pm1 0.000 0.026 0.250
Pm2 0.000 0.299 0.105
Pd1 0.000 0.254 0.750
Pd2 0.000 0.415 0.589
```

Principal peaks in the range 2θ = 10–90°, sorted by position:
2theta  I/Imax
25.96  52.2
29.55  34.5
33.01  35.6
34.00  52.3
34.27  26.5
37.84  36.4
38.18  100.0
38.77  19.7
42.96  34.6
56.07  12.9
58.56  20.2
75.53  14.3